Computed powder diffraction line list
Compound: Li2MnNi3O8
Radiation: copper Kα
Structure: a GGA+U-relaxed structure

Peak list (10 most intense, 2θ = 5–70°, by intensity)
| 2theta | I (rel.) |
| --- | --- |
| 18.77 | 100 |
| 44.17 | 74 |
| 36.37 | 49 |
| 18.65 | 39 |
| 64.40 | 22 |
| 64.08 | 22 |
| 58.51 | 20 |
| 36.22 | 18 |
| 38.06 | 14 |
| 67.71 | 11 |

Cell and atoms:
```
data_Li2MnNi3O8
_cell_length_a 5.7865
_cell_length_b 5.7865
_cell_length_c 14.2711
_cell_angle_alpha 90.00
_cell_angle_beta 90.00
_cell_angle_gamma 120.00
_space_group_name_H-M_alt 'R -3 m'
_space_group_IT_number 166
_space_group_name_Hall '-R 3 2"'
loop_
_atom_site_label
_atom_site_type_symbol
_atom_site_fract_x
_atom_site_fract_y
_atom_site_fract_z
Li1 Li 0.0000 0.0000 0.1277
Mn1 Mn 0.0000 0.0000 0.5000
Ni1 Ni 0.0000 0.5000 0.0000
O1 O 0.0000 0.0000 0.2683
O2 O 0.0333 0.5166 0.2505
```